Entry 1:
Diffraction record for PaB4Mo. The powder diffraction line list is calculated, not measured: it uses DFT lattice parameters and positions (GGA-PBE) and λ = 1.5418 Å (Cu Kα).

Principal peaks in the range 2θ from 10° to 90°, sorted by position:
d (Å), 2θ (°), I/Imax, hkl
3.724, 23.9, 1000, 0 0 1
3.689, 24.1, 277, 2 0 0
2.904, 30.8, 703, 2 2 0
2.890, 30.9, 604, 1 3 0
2.621, 34.2, 282, 2 0 1
2.290, 39.3, 859, 2 2 1
2.283, 39.5, 752, 1 3 1
2.005, 45.2, 271, 3 1 1
1.567, 59.0, 435, 2 2 2
1.388, 67.5, 280, 3 5 1

Atomic structure:
Cell lengths 7.3786, 9.4209, 3.7244 Å; angles 90.00, 90.00, 90.00 degrees
Space group Cmmm (No. 65)
Symmetry-distinct sites (fractional):
Pa  0.0000  0.1985  0.0000
B  0.0000  0.4082  0.5000
B  0.1221  0.0000  0.5000
B  0.2225  0.3415  0.5000
Mo  0.1805  0.5000  0.0000

***

Entry 2:
Diffraction record for BMoPd. The powder diffraction line list is calculated, not measured: it uses DFT lattice parameters and positions (GGA-PBE) and λ = 1.5418 Å (Cu Kα).

Principal peaks in the range 2θ from 10° to 90°, sorted by position:
d (Å), 2θ (°), I/Imax, hkl
2.961, 30.2, 342, 2 0 -2
2.437, 36.9, 1000, 1 1 1
2.147, 42.1, 239, 4 0 -1
2.112, 42.8, 203, 2 0 -3
2.074, 43.6, 231, 3 1 -1
2.062, 43.9, 277, 2 0 2
2.002, 45.3, 139, 4 0 0
1.920, 47.3, 340, 3 1 -2
1.735, 52.8, 173, 1 1 -3
1.415, 66.0, 125, 5 1 0

Atomic structure:
Cell lengths 8.5917, 3.0217, 6.4027 Å; angles 90.00, 111.21, 90.00 degrees
Space group C2/m (No. 12)
Symmetry-distinct sites (fractional):
B  0.0867  0.0000  0.1265
Mo  0.1759  0.0000  0.8332
Pd  0.1071  0.5000  0.3888

***

Entry 3:
Diffraction record for Pm2B10Mo. The powder diffraction line list is calculated, not measured: it uses DFT lattice parameters and positions (GGA-PBE) and λ = 1.5418 Å (Cu Kα).

Principal peaks in the range 2θ from 10° to 90°, sorted by position:
d (Å), 2θ (°), I/Imax, hkl
4.140, 21.5, 776, 1 2 0
3.376, 26.4, 164, 0 2 1
3.247, 27.5, 480, 1 3 0
2.926, 30.6, 1000, 1 2 1
2.395, 37.6, 421, 2 0 1
2.385, 37.7, 492, 0 4 1
2.346, 38.4, 129, 2 1 1
2.070, 43.7, 437, 0 0 2
1.851, 49.2, 293, 1 2 2
1.611, 57.2, 160, 3 3 1

Atomic structure:
Cell lengths 5.8736, 11.6762, 4.1380 Å; angles 90.00, 90.00, 90.00 degrees
Space group Pbam (No. 55)
Symmetry-distinct sites (fractional):
Pm  0.2026  0.1404  0.0000
B  0.0700  0.3054  0.5000
B  0.1166  0.9577  0.5000
B  0.1230  0.8020  0.5000
B  0.2316  0.3798  0.2014
Mo  0.0000  0.5000  0.5000

***

Entry 4:
Diffraction record for PrB14Mo. The powder diffraction line list is calculated, not measured: it uses DFT lattice parameters and positions (GGA-PBE) and λ = 1.5418 Å (Cu Kα).

Principal peaks in the range 2θ from 10° to 90°, sorted by position:
d (Å), 2θ (°), I/Imax, hkl
5.516, 16.1, 1000, 0 2 0
3.620, 24.6, 449, 1 2 1
3.238, 27.5, 508, 1 1 2
2.690, 33.3, 691, 2 1 1
2.679, 33.5, 341, 0 1 3
2.492, 36.0, 382, 1 3 2
2.214, 40.7, 557, 2 3 1
2.208, 40.9, 280, 0 3 3
1.726, 53.1, 276, 2 5 1
1.619, 56.9, 223, 2 2 4

Atomic structure:
Cell lengths 5.8866, 11.0325, 8.2845 Å; angles 90.00, 90.00, 90.00 degrees
Space group Imma (No. 74)
Symmetry-distinct sites (fractional):
Pr  0.0000  0.2500  0.1262
B  0.0000  0.0808  0.6692
B  0.0000  0.1178  0.8687
B  0.0000  0.1669  0.4699
B  0.1605  0.0623  0.3394
B  0.2465  0.0763  0.5495
Mo  0.2500  0.2500  0.7500

***

Entry 5:
Diffraction record for Re2B2Mo. The powder diffraction line list is calculated, not measured: it uses DFT lattice parameters and positions (GGA-PBE) and λ = 1.5418 Å (Cu Kα).

Principal peaks in the range 2θ from 10° to 90°, sorted by position:
d (Å), 2θ (°), I/Imax, hkl
2.938, 30.4, 250, 0 0 1
2.784, 32.2, 1000, 2 1 0
2.443, 36.8, 451, 1 1 1
2.136, 42.3, 291, 2 0 1
2.021, 44.9, 955, 2 1 1
1.968, 46.1, 489, 3 1 0
1.375, 68.2, 227, 4 0 1
1.313, 71.9, 244, 3 3 1
1.299, 72.8, 199, 2 1 2
1.177, 81.8, 186, 3 1 2

Atomic structure:
Cell lengths 6.2249, 6.2249, 2.9375 Å; angles 90.00, 90.00, 90.00 degrees
Space group P4/mbm (No. 127)
Symmetry-distinct sites (fractional):
Re  0.1508  0.3492  0.0000
B  0.1423  0.6423  0.5000
Mo  0.0000  0.0000  0.5000

***

Entry 6:
Diffraction record for ReB4Mo2. The powder diffraction line list is calculated, not measured: it uses DFT lattice parameters and positions (GGA-PBE) and λ = 1.5418 Å (Cu Kα).

Principal peaks in the range 2θ from 10° to 90°, sorted by position:
d (Å), 2θ (°), I/Imax, hkl
5.533, 16.0, 557, 0 0 2
2.821, 31.7, 862, 1 1 0
2.708, 33.1, 1000, 1 0 3
2.513, 35.7, 214, 1 1 2
1.995, 45.5, 364, 2 0 0
1.935, 47.0, 458, 1 0 5
1.876, 48.5, 131, 2 0 2
1.606, 57.4, 417, 2 1 3
1.389, 67.4, 307, 2 1 5
1.261, 75.3, 141, 3 1 0

Atomic structure:
Cell lengths 3.9891, 3.9891, 11.0653 Å; angles 90.00, 90.00, 90.00 degrees
Space group I4/mmm (No. 139)
Symmetry-distinct sites (fractional):
Re  0.0000  0.0000  0.0000
B  0.0000  0.0000  0.1925
B  0.0000  0.5000  0.0000
Mo  0.0000  0.0000  0.3756

***

Which formula does entry 5 have? Re2B2Mo